Ac2CdIrPb: simulated powder diffractogram (Cu Kα (weighted mean of Kα1 and Kα2)), based on the GGA-PBE geometry in Alexandria.
Kinematic intensities with the Lorentz-polarization factor, no thermal factor.

Cell and atoms:
```
Ac2CdIrPb
1.0
8.3859 0.0000 0.0000
0.0000 4.5573 0.0000
-2.8681 0.0000 7.9770
Ac Cd Ir Pb
4 2 2 2
direct
0.1044 0.2500 0.3273 Ac
0.2867 0.2500 0.9755 Ac
0.7133 0.7500 0.0245 Ac
0.8956 0.7500 0.6727 Ac
0.4348 0.7500 0.3332 Cd
0.5652 0.2500 0.6668 Cd
0.1066 0.7500 0.0866 Ir
0.8934 0.2500 0.9134 Ir
0.3192 0.7500 0.6623 Pb
0.6808 0.2500 0.3377 Pb
```

Most intense lines, 2θ = 5–70°, by intensity:
39.55°, 2.279 Å, I 100
32.56°, 2.750 Å, I 97
29.77°, 3.001 Å, I 92
34.70°, 2.585 Å, I 90
29.01°, 3.078 Å, I 82
33.71°, 2.659 Å, I 71
37.76°, 2.383 Å, I 56
28.43°, 3.140 Å, I 55
39.20°, 2.298 Å, I 54
29.16°, 3.063 Å, I 49


CrCd2Rh2: simulated powder diffractogram (Cu Kα (weighted mean of Kα1 and Kα2)), based on the GGA-PBE geometry in Alexandria.
Kinematic intensities with the Lorentz-polarization factor, no thermal factor.

Cell and atoms:
```
CrCd2Rh2
1.0
6.4541 0.0000 0.0000
0.0000 6.4541 0.0000
0.0000 0.0000 4.2602
Cr Cd Rh
2 4 4
direct
0.0000 0.0000 0.0000 Cr
0.5000 0.5000 0.0000 Cr
0.1669 0.3331 0.5000 Cd
0.3331 0.8331 0.5000 Cd
0.6669 0.1669 0.5000 Cd
0.8331 0.6669 0.5000 Cd
0.1397 0.6397 0.0000 Rh
0.3603 0.1397 0.0000 Rh
0.6397 0.8603 0.0000 Rh
0.8603 0.3603 0.0000 Rh
```

Most intense lines, 2θ = 5–70°, by intensity:
37.64°, 2.390 Å, I 100
44.39°, 2.041 Å, I 23
42.44°, 2.130 Å, I 20
63.08°, 1.474 Å, I 15
63.29°, 1.469 Å, I 10
19.45°, 4.564 Å, I 10
34.88°, 2.572 Å, I 10
60.90°, 1.521 Å, I 6
27.64°, 3.227 Å, I 5
57.08°, 1.614 Å, I 4


Ba5Cd2Sb5F: simulated powder diffractogram (Cu Kα (weighted mean of Kα1 and Kα2)), based on the GGA-PBE geometry in Alexandria.
Kinematic intensities with the Lorentz-polarization factor, no thermal factor.

Cell and atoms:
```
Ba5Cd2Sb5F
1.0
2.4931 -11.8054 0.0000
2.4931 11.8054 0.0000
0.0000 0.0000 15.5896
Ba Cd Sb F
10 4 10 2
direct
0.0000 0.0000 0.0000 Ba
0.0000 0.0000 0.5000 Ba
0.0949 0.9051 0.7500 Ba
0.1014 0.8986 0.2500 Ba
0.2741 0.7259 0.1180 Ba
0.2741 0.7259 0.3820 Ba
0.7259 0.2741 0.6180 Ba
0.7259 0.2741 0.8820 Ba
0.8986 0.1014 0.7500 Ba
0.9051 0.0949 0.2500 Ba
0.3665 0.6335 0.5889 Cd
0.3665 0.6335 0.9111 Cd
0.6335 0.3665 0.0889 Cd
0.6335 0.3665 0.4111 Cd
0.1485 0.8515 0.5107 Sb
0.1485 0.8515 0.9893 Sb
0.2926 0.7074 0.7500 Sb
0.4900 0.5100 0.6581 Sb
0.4900 0.5100 0.8419 Sb
0.5100 0.4900 0.1581 Sb
0.5100 0.4900 0.3419 Sb
0.7074 0.2926 0.2500 Sb
0.8515 0.1485 0.0107 Sb
0.8515 0.1485 0.4893 Sb
0.3490 0.6510 0.2500 F
0.6510 0.3490 0.7500 F
```

Most intense lines, 2θ = 5–70°, by intensity:
29.33°, 3.045 Å, I 100
28.44°, 3.138 Å, I 98
36.02°, 2.493 Å, I 61
27.25°, 3.272 Å, I 41
25.99°, 3.429 Å, I 39
31.26°, 2.862 Å, I 35
34.11°, 2.629 Å, I 33
25.35°, 3.513 Å, I 26
40.81°, 2.211 Å, I 23
27.42°, 3.252 Å, I 23